# PrP4N8
Simulated XRD peak list, Cu Ka. Input: a DFT-relaxed cell (GGA-PBE, Alexandria).

Atomic structure:
Cell lengths 4.9793, 4.9793, 8.2207 Å; angles 90.00, 90.00, 120.00 degrees
Sites, in units of the cell vectors:
1 Pr 0.0000 0.0000 0.0000
2 P 0.3333 0.6667 0.2003
3 P 0.3333 0.6667 0.7997
4 P 0.6667 0.3333 0.2003
5 P 0.6667 0.3333 0.7997
6 N 0.0000 0.3772 0.7463
7 N 0.0000 0.6228 0.2537
8 N 0.3333 0.6667 0.0000
9 N 0.3772 0.0000 0.7463
10 N 0.3772 0.3772 0.2537
11 N 0.6228 0.0000 0.2537
12 N 0.6228 0.6228 0.7463
13 N 0.6667 0.3333 0.0000

Most intense lines, 2θ from 15° to 90°, most intense first:
2.975 Å, intensity 100; 2.383 Å, intensity 69; 3.819 Å, intensity 59; 2.490 Å, intensity 54; 2.313 Å, intensity 42; 1.515 Å, intensity 23; 1.372 Å, intensity 21; 1.401 Å, intensity 18; 1.909 Å, intensity 18; 1.694 Å, intensity 17; 1.437 Å, intensity 16; 2.055 Å, intensity 12